Theoretical powder diffractogram of LiCo2PbF8 for λ = 1.5418 Å (Cu Kα), from a DFT-relaxed cell (GGA+U, Alexandria).

Largest 10 diffraction maxima, sorted by position, 2θ from 10° to 90°:
hkl 0 1 0, d 6.529, 13.56°, I 51; hkl 1 1 0, d 3.980, 22.34°, I 100; hkl 1 0 -1, d 3.665, 24.28°, I 69; hkl 1 0 1, d 3.445, 25.86°, I 49; hkl 1 1 -1, d 3.196, 27.92°, I 22; hkl 1 1 1, d 3.047, 29.31°, I 25; hkl 1 2 0, d 2.737, 32.72°, I 74; hkl 2 2 -1, d 1.882, 48.37°, I 47; hkl 2 2 1, d 1.820, 50.13°, I 31; hkl 0 2 3, d 1.491, 62.25°, I 22

Structure:
Lattice parameters (Å, degrees): 5.0205 6.5285 5.0401 90.00 93.54 90.00
Fractional coordinates of all 12 atoms:
1 Li 0.0000 0.0000 0.0000
2 Co 0.5000 0.2342 0.5000
3 Co 0.5000 0.7658 0.5000
4 Pb 0.0000 0.5000 0.0000
5 F 0.2245 0.2191 0.2156
6 F 0.2245 0.7809 0.2156
7 F 0.3152 0.0000 0.6774
8 F 0.3294 0.5000 0.6602
9 F 0.6706 0.5000 0.3398
10 F 0.6848 0.0000 0.3226
11 F 0.7755 0.2191 0.7844
12 F 0.7755 0.7809 0.7844